# BaVSe3
Simulated powder X-ray diffraction pattern, Cu Kα (λ = 1.5418 Å). Input: a structure optimized by DFT (PBE).
Kinematic intensities with the Lorentz-polarization factor, no thermal factor.

Main lines, low angle first (15° ≤ 2θ ≤ 90°):
2theta	Rel. int.
29.13	12.5
30.29	30.3
32.92	100.0
33.18	48.2
42.52	24.8
51.46	11.7
51.99	20.3
55.50	20.6
61.36	18.0
62.61	15.0

```
BaVSe3
1.0
3.551 -6.074 0.000
3.551 6.074 0.000
0.000 0.000 5.902
Ba V Se
2 2 6
direct
0.164 0.836 0.500
0.836 0.164 0.000
0.474 0.526 0.242
0.526 0.474 0.742
0.170 0.337 0.512
0.329 0.671 0.980
0.337 0.170 0.012
0.663 0.830 0.512
0.671 0.329 0.480
0.830 0.663 0.012
```


# Tm3Ga8Ag3
Simulated powder X-ray diffraction pattern, Cu Kα (λ = 1.5418 Å). Input: a structure optimized by DFT (PBE).
Kinematic intensities with the Lorentz-polarization factor, no thermal factor.

Main lines, low angle first (15° ≤ 2θ ≤ 90°):
2theta	Rel. int.
33.79	14.6
34.95	100.0
35.22	17.3
36.13	19.8
37.73	30.7
41.42	31.5
42.49	14.5
43.83	11.8
68.21	15.3
71.37	12.2

```
Tm3Ga8Ag3
1.0
-2.180 4.772 6.383
2.180 -4.772 6.383
2.180 4.772 -6.383
Tm Ga Ag
3 8 3
direct
0.000 0.000 0.000
0.296 0.296 0.000
0.704 0.704 0.000
0.027 0.657 0.370
0.139 0.858 0.281
0.288 0.657 0.630
0.423 0.142 0.281
0.577 0.858 0.719
0.712 0.343 0.370
0.861 0.142 0.719
0.973 0.343 0.630
0.312 0.500 0.812
0.500 0.000 0.500
0.688 0.500 0.188
```


# LiPmIn2
Simulated powder X-ray diffraction pattern, Cu Kα (λ = 1.5418 Å). Input: a structure optimized by DFT (PBE).
Kinematic intensities with the Lorentz-polarization factor, no thermal factor.

Main lines, low angle first (15° ≤ 2θ ≤ 90°):
2theta	Rel. int.
20.85	31.6
24.12	5.7
34.37	100.0
40.55	17.1
49.40	17.7
54.18	7.4
61.57	35.9
65.76	5.5
72.46	11.0
82.72	15.5

```
LiPmIn2
1.0
0.000 3.690 3.690
3.690 0.000 3.690
3.690 3.690 0.000
Li Pm In
1 1 2
direct
0.000 0.000 0.000
0.500 0.500 0.500
0.250 0.250 0.250
0.750 0.750 0.750
```


# Rb2LiNb2Te2O12
Simulated powder X-ray diffraction pattern, Cu Kα (λ = 1.5418 Å). Input: a structure optimized by DFT (PBE).
Kinematic intensities with the Lorentz-polarization factor, no thermal factor.

Main lines, low angle first (15° ≤ 2θ ≤ 90°):
2theta	Rel. int.
28.09	100.0
28.23	24.2
28.95	34.2
29.46	34.2
44.85	29.8
48.52	12.7
49.18	29.6
50.78	19.1
58.08	29.0
68.74	14.5

```
Rb2LiNb2Te2O12
1.0
6.417 -3.705 0.000
6.417 3.705 0.000
-4.277 0.000 6.168
Rb Li Nb Te O
2 1 2 2 12
direct
0.166 0.166 0.000
0.834 0.834 0.000
0.000 0.000 0.500
0.000 0.500 0.500
0.500 0.000 0.500
0.500 0.500 0.000
0.500 0.500 0.500
0.174 0.572 0.421
0.181 0.181 0.428
0.191 0.563 0.816
0.428 0.826 0.579
0.431 0.431 0.176
0.437 0.809 0.184
0.563 0.191 0.816
0.569 0.569 0.824
0.572 0.174 0.421
0.809 0.437 0.184
0.819 0.819 0.572
0.826 0.428 0.579
```